For Cs2LiBiF6, a cell relaxed with GGA-PBE gives the calculated PXRD pattern in this record (a wavelength of 1.5418 Å).
Intensities are scaled so that the largest is 100.

Structural model:
```
Cs2LiBiF6
1.0
0.000 4.542 4.542
4.542 0.000 4.542
4.542 4.542 0.000
Cs Li Bi F
2 1 1 6
direct
0.250 0.250 0.250
0.750 0.750 0.750
0.000 0.000 0.000
0.500 0.500 0.500
0.247 0.247 0.753
0.247 0.753 0.247
0.247 0.753 0.753
0.753 0.247 0.247
0.753 0.247 0.753
0.753 0.753 0.247
```

Main lines, by angle (10 to 90 degrees two-theta):
16.90 deg, intensity 45
27.78 deg, intensity 100
32.69 deg, intensity 29
39.69 deg, intensity 36
49.13 deg, intensity 43
57.38 deg, intensity 23